The following is a theoretical X-ray powder pattern of CsPaO4. It was derived from DFT lattice parameters and positions (PBE), using Cu Kα (λ = 1.5418 Å).

Atomic structure:
abc: 4.341 4.341 5.823
angles: 90.00 90.00 90.00
Fractional coordinates of all 6 atoms:
Cs (0.000, 0.000, 0.000)
Pa (0.500, 0.500, 0.500)
O (0.000, 0.500, 0.500)
O (0.500, 0.000, 0.500)
O (0.500, 0.500, 0.122)
O (0.500, 0.500, 0.878)

Main lines, in order of falling intensity (10 to 80 degrees two-theta):
2theta	Rel. int.
25.6	100
29.1	42
49.5	35
42.8	25
68.3	24
41.6	22
30.7	22
51.6	19
52.6	19
20.5	13